Structure and theoretical powder X-ray diffraction pattern of Bi2O3 (the GGA-PBE geometry in Alexandria; a wavelength of 1.5418 Å).

Structure:
```
data_Bi2O3
_chemical_formula_sum 'Bi8 O12'
_symmetry_space_group_name_H-M 'P b c n'
_symmetry_Int_Tables_number 60
_cell_length_a 11.8820
_cell_length_b 5.7627
_cell_length_c 5.6924
_cell_angle_alpha 90.00
_cell_angle_beta 90.00
_cell_angle_gamma 90.00
loop_
_symmetry_equiv_pos_as_xyz
'x,y,z'
'-x,-y,-z'
'-x+1/2,-y+1/2,z+1/2'
'x+1/2,y+1/2,-z+1/2'
'x+1/2,-y+1/2,-z'
'-x+1/2,y+1/2,z'
'-x,y,-z+1/2'
'x,-y,z+1/2'
loop_
_atom_site_label
_atom_site_fract_x
_atom_site_fract_y
_atom_site_fract_z
_atom_site_occupancy
Bi1 0.1275 0.1877 0.0514 1
O1 0.0000 0.0534 0.7500 1
O2 0.2127 0.0969 0.3931 1
```

Most intense lines, 2θ = 10–90°, by angle:
hkl, Position (°2θ), Rel. int.
1 1 0, 17.10, 20
2 1 1, 26.64, 100
4 0 0, 30.08, 21
0 2 0, 31.04, 10
0 0 2, 31.43, 14
1 2 1, 35.73, 12
3 2 1, 41.89, 10
4 2 0, 43.77, 10
4 0 2, 44.06, 12
6 1 1, 51.34, 26